# Rb4Sn21Hg2
Theoretical X-ray diffraction stick pattern, Cu Kα (λ = 1.5418 Å). Input: a DFT-relaxed cell (PBE, Alexandria).
Peak positions follow from Bragg's law for the DFT cell and can differ from measured ones.

Principal peaks in the range 10 to 80 degrees two-theta, most intense first:
Position (°2θ)  Rel. int.  index
26.8  100  2 4 2
42.3  66  0 8 2
44.9  52  2 8 2
24.8  36  2 4 0
15.9  35  0 1 3
43.6  27  0 6 6

Structure:
```
data_Rb4Sn21Hg2
_cell_length_a 12.4467
_cell_length_b 17.5973
_cell_length_c 17.6155
_cell_angle_alpha 90.00
_cell_angle_beta 90.00
_cell_angle_gamma 90.00
_symmetry_space_group_name_H-M 'A m a 2'
_symmetry_Int_Tables_number 40
_symmetry_space_group_name_Hall 'A 2 -2a'
loop_
_atom_site_label
_atom_site_fract_x
_atom_site_fract_y
_atom_site_fract_z
Rb1 0.0000 0.0000 0.0000
Rb2 0.2500 0.1147 0.3583
Rb3 0.2500 0.2507 0.7356
Rb4 0.2500 0.3734 0.1004
Sn1 0.0565 0.3081 0.2939
Sn2 0.0646 0.1907 0.1758
Sn3 0.0655 0.2484 0.5533
Sn4 0.0672 0.0661 0.7340
Sn5 0.0668 0.4317 0.7354
Sn6 0.0691 0.2494 0.9194
Sn7 0.1321 0.4055 0.8911
Sn8 0.1328 0.0930 0.5785
Sn9 0.2500 0.0381 0.8312
Sn10 0.2500 0.1511 0.9527
Sn11 0.2500 0.3443 0.5242
Sn12 0.2500 0.3748 0.3607
Sn13 0.2500 0.4653 0.6393
Hg1 0.0000 0.0000 0.4843
Hg2 0.2500 0.1236 0.1111
```

***

# Rb2SnHg12
Theoretical X-ray diffraction stick pattern, Cu Kα (λ = 1.5418 Å). Input: a DFT-relaxed cell (PBE, Alexandria).
Peak positions follow from Bragg's law for the DFT cell and can differ from measured ones.

Principal peaks in the range 10 to 80 degrees two-theta, most intense first:
Position (°2θ)  Rel. int.  index
35.5  100  2 2 0
38.2  99  2 0 6
26.7  97  2 0 2
31.4  64  2 1 3
34.6  63  2 0 5
19.9  51  1 1 2

Structure:
```
data_Rb2SnHg12
_cell_length_a 7.1593
_cell_length_b 7.1593
_cell_length_c 18.7829
_cell_angle_alpha 90.00
_cell_angle_beta 90.00
_cell_angle_gamma 90.00
_symmetry_space_group_name_H-M 'P 4/n b m'
_symmetry_Int_Tables_number 125
loop_
_symmetry_equiv_pos_as_xyz
'x,y,z'
'-x,-y,-z'
'-y+1/2,x,z'
'y+1/2,-x,-z'
'-x+1/2,-y+1/2,z'
'x+1/2,y+1/2,-z'
'y,-x+1/2,z'
'-y,x+1/2,-z'
'x,-y+1/2,-z'
'-x,y+1/2,z'
'-y+1/2,-x+1/2,-z'
'y+1/2,x+1/2,z'
'-x+1/2,y,-z'
'x+1/2,-y,z'
'y,x,-z'
'-y,-x,z'
loop_
_atom_site_label
_atom_site_fract_x
_atom_site_fract_y
_atom_site_fract_z
Rb1 0.2500 0.7500 0.2480
Sn1 0.2500 0.7500 0.5000
Hg1 0.0001 0.9999 0.4063
Hg2 0.0915 0.5915 0.0655
Hg3 0.2500 0.2500 0.1499
Hg4 0.2500 0.2500 0.3144
```

***

# RbSnHg
Theoretical X-ray diffraction stick pattern, Cu Kα (λ = 1.5418 Å). Input: a DFT-relaxed cell (PBE, Alexandria).
Peak positions follow from Bragg's law for the DFT cell and can differ from measured ones.

Principal peaks in the range 10 to 80 degrees two-theta, most intense first:
Position (°2θ)  Rel. int.  index
30.0  100  1 0 3
31.0  78  1 1 0
13.5  63  0 0 2
54.5  38  2 1 3
54.0  32  1 0 7
41.8  30  1 1 4

Structure:
```
data_RbSnHg
_cell_length_a 4.0787
_cell_length_b 4.0787
_cell_length_c 13.0823
_cell_angle_alpha 90.00
_cell_angle_beta 90.00
_cell_angle_gamma 90.00
_symmetry_space_group_name_H-M 'I 4 m m'
_symmetry_Int_Tables_number 107
_symmetry_space_group_name_Hall 'I 4 -2'
loop_
_atom_site_label
_atom_site_fract_x
_atom_site_fract_y
_atom_site_fract_z
Rb1 0.0000 0.0000 0.0000
Sn1 0.0000 0.0000 0.2865
Hg1 0.0000 0.0000 0.7068
```

***

# RbSnHg4
Theoretical X-ray diffraction stick pattern, Cu Kα (λ = 1.5418 Å). Input: a DFT-relaxed cell (PBE, Alexandria).
Peak positions follow from Bragg's law for the DFT cell and can differ from measured ones.

Principal peaks in the range 10 to 80 degrees two-theta, most intense first:
Position (°2θ)  Rel. int.  index
30.2  100  0 4 2
36.7  71  1 5 2
45.3  67  2 4 2
33.0  66  2 0 0
26.2  50  1 5 0
40.8  46  1 9 0

Structure:
```
data_RbSnHg4
_cell_length_a 5.4279
_cell_length_b 21.8202
_cell_length_c 7.0512
_cell_angle_alpha 90.00
_cell_angle_beta 90.00
_cell_angle_gamma 90.00
_symmetry_space_group_name_H-M 'C m c m'
_symmetry_Int_Tables_number 63
_symmetry_space_group_name_Hall '-C 2c 2'
loop_
_atom_site_label
_atom_site_fract_x
_atom_site_fract_y
_atom_site_fract_z
Rb1 0.0000 0.1054 0.2500
Sn1 0.0000 0.3947 0.2500
Hg1 0.0000 0.1568 0.7500
Hg2 0.0000 0.2825 0.5265
Hg3 0.0000 0.5000 0.0000
```

***

# Rb3SnHg3
Theoretical X-ray diffraction stick pattern, Cu Kα (λ = 1.5418 Å). Input: a DFT-relaxed cell (PBE, Alexandria).
Peak positions follow from Bragg's law for the DFT cell and can differ from measured ones.

Principal peaks in the range 10 to 80 degrees two-theta, most intense first:
Position (°2θ)  Rel. int.  index
31.7  100  4 0 -5
13.2  64  2 0 -1
26.4  56  3 1 -1
26.3  56  1 1 -4
34.9  50  0 2 0
18.6  46  1 1 0

Structure:
```
data_Rb3SnHg3
_cell_length_a 13.4463
_cell_length_b 5.1438
_cell_length_c 17.9995
_cell_angle_alpha 90.00
_cell_angle_beta 108.83
_cell_angle_gamma 90.00
_symmetry_space_group_name_H-M 'C 1 2/m 1'
_symmetry_Int_Tables_number 12
_symmetry_space_group_name_Hall '-C 2y'
loop_
_atom_site_label
_atom_site_fract_x
_atom_site_fract_y
_atom_site_fract_z
Rb1 0.0188 0.0000 0.3899
Rb2 0.1090 0.0000 0.9206
Rb3 0.2471 0.5000 0.7681
Sn1 0.2330 0.5000 0.3839
Hg1 0.0439 0.5000 0.2309
Hg2 0.0968 0.5000 0.0766
Hg3 0.1855 0.5000 0.5385
```

***

# RbSn3Hg
Theoretical X-ray diffraction stick pattern, Cu Kα (λ = 1.5418 Å). Input: a DFT-relaxed cell (PBE, Alexandria).
Peak positions follow from Bragg's law for the DFT cell and can differ from measured ones.

Principal peaks in the range 10 to 80 degrees two-theta, most intense first:
Position (°2θ)  Rel. int.  index
28.5  100  1 1 2
38.6  54  1 1 4
33.2  39  0 2 0
36.2  31  2 0 0
49.9  25  2 2 0
40.8  23  0 1 5

Structure:
```
data_RbSn3Hg
_cell_length_a 4.9612
_cell_length_b 5.3968
_cell_length_c 12.1230
_cell_angle_alpha 90.00
_cell_angle_beta 90.00
_cell_angle_gamma 90.00
_symmetry_space_group_name_H-M 'I m m 2'
_symmetry_Int_Tables_number 44
_symmetry_space_group_name_Hall 'I 2 -2'
loop_
_atom_site_label
_atom_site_fract_x
_atom_site_fract_y
_atom_site_fract_z
Rb1 0.0000 0.0000 0.0000
Sn1 0.0000 0.0000 0.6184
Sn2 0.0000 0.5000 0.2613
Sn3 0.0000 0.5000 0.7440
Hg1 0.0000 0.0000 0.3800
```